Record 1
Structure and computed powder XRD pattern of Pa3GaRe (a crystal structure in Alexandria, relaxed with PBE; Cu Kα X-rays).

Atomic structure:
```
data_Pa3GaRe
_chemical_formula_sum 'Pa12 Ga4 Re4'
_space_group_name_H-M_alt 'P 21 3'
_space_group_IT_number 198
_space_group_name_Hall 'P 2ac 2ab 3'
_cell_length_a 7.522
_cell_length_b 7.522
_cell_length_c 7.522
_cell_angle_alpha 90.00
_cell_angle_beta 90.00
_cell_angle_gamma 90.00
loop_
_atom_site_label
_atom_site_type_symbol
_atom_site_fract_x
_atom_site_fract_y
_atom_site_fract_z
Pa1 Pa 0.032 0.148 0.796
Ga1 Ga 0.073 0.927 0.427
Re1 Re 0.162 0.162 0.162
```

Top 6 peaks for 2θ from 5° to 70°, in order of rising 2θ:
hkl 2 0 1, 26.50°, intensity 213
hkl 2 2 1, 35.81°, intensity 1000
hkl 3 0 1, 37.82°, intensity 741
hkl 3 1 1, 39.74°, intensity 163
hkl 4 3 1, 63.01°, intensity 236
hkl 5 0 2, 67.00°, intensity 252


Record 2
Structure and computed powder XRD pattern of Pr4Sm2Sc (a crystal structure in Alexandria, relaxed with PBE; Cu Kα X-rays).

Atomic structure:
```
data_Pr4Sm2Sc
_chemical_formula_sum 'Pr32 Sm16 Sc8'
_space_group_name_H-M_alt 'F d d 2'
_space_group_IT_number 43
_space_group_name_Hall 'F 2 -2d'
_cell_length_a 12.081
_cell_length_b 24.330
_cell_length_c 6.477
_cell_angle_alpha 90.00
_cell_angle_beta 90.00
_cell_angle_gamma 90.00
loop_
_atom_site_label
_atom_site_type_symbol
_atom_site_fract_x
_atom_site_fract_y
_atom_site_fract_z
Pr1 Pr 0.050 0.431 0.000
Pr2 Pr 0.068 0.357 0.468
Sm1 Sm 0.023 0.285 0.953
Sc1 Sc 0.000 0.000 0.002
```

Top 6 peaks for 2θ from 5° to 70°, in order of rising 2θ:
hkl 1 7 1, 30.10°, intensity 1000
hkl 4 2 0, 30.50°, intensity 394
hkl 2 0 2, 31.34°, intensity 638
hkl 3 5 1, 31.99°, intensity 388
hkl 2 2 2, 32.21°, intensity 297
hkl 3 7 1, 36.85°, intensity 317


Record 3
Structure and computed powder XRD pattern of Na2Al2As3 (a crystal structure in Alexandria, relaxed with PBE; Cu Kα X-rays).

Atomic structure:
```
data_Na2Al2As3
_chemical_formula_sum 'Na16 Al16 As24'
_space_group_name_H-M_alt 'C 1 2/c 1'
_space_group_IT_number 15
_space_group_name_Hall '-C 2yc'
_cell_length_a 15.681
_cell_length_b 13.940
_cell_length_c 6.698
_cell_angle_alpha 90.00
_cell_angle_beta 113.78
_cell_angle_gamma 90.00
loop_
_atom_site_label
_atom_site_type_symbol
_atom_site_fract_x
_atom_site_fract_y
_atom_site_fract_z
Na1 Na 0.000 0.065 0.250
Na2 Na 0.000 0.212 0.750
Na3 Na 0.101 0.415 0.088
Al1 Al 0.199 0.225 0.642
Al2 Al 0.228 0.076 0.185
As1 As 0.108 0.374 0.625
As2 As 0.137 0.219 0.235
As3 As 0.160 0.072 0.777
```

Top 6 peaks for 2θ from 5° to 70°, in order of rising 2θ:
hkl 4 0 0, 24.82°, intensity 371
hkl 3 3 -1, 26.62°, intensity 1000
hkl 1 1 -2, 27.95°, intensity 286
hkl 0 0 2, 29.14°, intensity 340
hkl 4 4 -1, 34.74°, intensity 434
hkl 3 3 -3, 45.05°, intensity 410


Record 4
Structure and computed powder XRD pattern of LiLa3Ho3S8 (a crystal structure in Alexandria, relaxed with PBE; Cu Kα X-rays).

Atomic structure:
```
data_LiLa3Ho3S8
_chemical_formula_sum 'Li3 La9 Ho9 S24'
_space_group_name_H-M_alt 'R -3 m'
_space_group_IT_number 166
_space_group_name_Hall '-R 3 2"'
_cell_length_a 7.9218
_cell_length_b 7.9218
_cell_length_c 19.8158
_cell_angle_alpha 90.00
_cell_angle_beta 90.00
_cell_angle_gamma 120.00
loop_
_atom_site_label
_atom_site_type_symbol
_atom_site_fract_x
_atom_site_fract_y
_atom_site_fract_z
Li1 Li 0.0000 0.0000 0.0000
La1 La 0.0000 0.5000 0.5000
Ho1 Ho 0.0000 0.5000 0.0000
S1 S 0.0000 0.0000 0.2568
S2 S 0.0007 0.5004 0.7434
```

Top 6 peaks for 2θ from 5° to 70°, in order of rising 2θ:
hkl 0 1 2, 15.71°, intensity 345
hkl 2 0 2, 27.52°, intensity 418
hkl 0 2 4, 31.73°, intensity 1000
hkl 2 0 8, 45.15°, intensity 360
hkl 2 2 0, 45.82°, intensity 353
hkl 4 0 4, 56.80°, intensity 183


Record 5
Structure and computed powder XRD pattern of TiIr2Os2 (a crystal structure in Alexandria, relaxed with PBE; Cu Kα X-rays).

Atomic structure:
```
data_TiIr2Os2
_chemical_formula_sum 'Ti2 Ir4 Os4'
_space_group_name_H-M_alt 'P 4/m b m'
_space_group_IT_number 127
_space_group_name_Hall '-P 4 2ab'
_cell_length_a 7.513
_cell_length_b 7.513
_cell_length_c 2.763
_cell_angle_alpha 90.00
_cell_angle_beta 90.00
_cell_angle_gamma 90.00
loop_
_atom_site_label
_atom_site_type_symbol
_atom_site_fract_x
_atom_site_fract_y
_atom_site_fract_z
Ti1 Ti 0.000 0.000 0.000
Ir1 Ir 0.175 0.325 0.500
Os1 Os 0.123 0.623 0.000
```

Top 6 peaks for 2θ from 5° to 70°, in order of rising 2θ:
hkl 1 1 0, 16.69°, intensity 431
hkl 3 1 0, 37.87°, intensity 379
hkl 2 0 1, 40.53°, intensity 155
hkl 2 1 1, 42.35°, intensity 1000
hkl 3 2 0, 43.43°, intensity 171
hkl 4 1 0, 50.06°, intensity 123


Record 6
Structure and computed powder XRD pattern of Ce2Mo3N5 (a crystal structure in Alexandria, relaxed with PBE; Cu Kα X-rays).

Atomic structure:
```
data_Ce2Mo3N5
_chemical_formula_sum 'Ce4 Mo6 N10'
_space_group_name_H-M_alt 'C 1 2/m 1'
_space_group_IT_number 12
_space_group_name_Hall '-C 2y'
_cell_length_a 11.412
_cell_length_b 3.199
_cell_length_c 8.278
_cell_angle_alpha 90.00
_cell_angle_beta 126.08
_cell_angle_gamma 90.00
loop_
_atom_site_label
_atom_site_type_symbol
_atom_site_fract_x
_atom_site_fract_y
_atom_site_fract_z
Ce1 Ce 0.167 0.000 0.264
Mo1 Mo 0.000 0.000 0.500
Mo2 Mo 0.124 0.500 0.880
N1 N 0.000 0.500 0.000
N2 N 0.085 0.500 0.409
N3 N 0.202 0.000 0.797
```

Top 6 peaks for 2θ from 5° to 70°, in order of rising 2θ:
hkl 2 0 -3, 32.76°, intensity 858
hkl 1 1 1, 34.85°, intensity 1000
hkl 3 1 -2, 38.00°, intensity 965
hkl 2 0 2, 41.66°, intensity 340
hkl 0 2 0, 57.64°, intensity 547
hkl 2 2 -3, 67.89°, intensity 220


Record 7
Structure and computed powder XRD pattern of SrZnFeH6 (a crystal structure in Alexandria, relaxed with PBE; Cu Kα X-rays).

Atomic structure:
```
data_SrZnFeH6
_chemical_formula_sum 'Sr1 Zn1 Fe1 H6'
_space_group_name_H-M_alt 'P -6 m 2'
_space_group_IT_number 187
_space_group_name_Hall 'P -6 2'
_cell_length_a 4.5616
_cell_length_b 4.5616
_cell_length_c 4.5935
_cell_angle_alpha 90.00
_cell_angle_beta 90.00
_cell_angle_gamma 120.00
loop_
_atom_site_label
_atom_site_type_symbol
_atom_site_fract_x
_atom_site_fract_y
_atom_site_fract_z
Sr1 Sr 0.0000 0.0000 0.0000
Zn1 Zn 0.6667 0.3333 0.5000
Fe1 Fe 0.3333 0.6667 0.5000
H1 H 0.0406 0.5203 0.2609
```

Top 6 peaks for 2θ from 5° to 70°, in order of rising 2θ:
hkl 1 0 1, 29.83°, intensity 1000
hkl 0 0 2, 39.23°, intensity 147
hkl 1 1 0, 39.51°, intensity 456
hkl 2 0 1, 50.28°, intensity 223
hkl 1 1 2, 56.90°, intensity 309
hkl 2 1 1, 65.76°, intensity 195


Record 8
Structure and computed powder XRD pattern of NbCuSnOs (a crystal structure in Alexandria, relaxed with PBE; Cu Kα X-rays).

Atomic structure:
```
data_NbCuSnOs
_chemical_formula_sum 'Nb2 Cu2 Sn2 Os2'
_space_group_name_H-M_alt 'A m m 2'
_space_group_IT_number 38
_space_group_name_Hall 'A 2 -2'
_cell_length_a 4.323
_cell_length_b 3.093
_cell_length_c 10.091
_cell_angle_alpha 90.00
_cell_angle_beta 90.00
_cell_angle_gamma 90.00
loop_
_atom_site_label
_atom_site_type_symbol
_atom_site_fract_x
_atom_site_fract_y
_atom_site_fract_z
Nb1 Nb 0.000 0.000 0.000
Cu1 Cu 0.000 0.000 0.734
Sn1 Sn 0.500 0.000 0.309
Os1 Os 0.500 0.000 0.578
```

Top 6 peaks for 2θ from 5° to 70°, in order of rising 2θ:
hkl 1 1 1, 36.83°, intensity 1000
hkl 0 1 3, 39.59°, intensity 308
hkl 1 0 4, 41.44°, intensity 564
hkl 2 0 0, 41.79°, intensity 405
hkl 1 1 3, 45.01°, intensity 547
hkl 2 1 3, 58.92°, intensity 238


Record 9
Structure and computed powder XRD pattern of SrBrO5 (a crystal structure in Alexandria, relaxed with PBE; Cu Kα X-rays).

Atomic structure:
```
data_SrBrO5
_chemical_formula_sum 'Sr2 Br2 O10'
_space_group_name_H-M_alt 'P -1'
_space_group_IT_number 2
_space_group_name_Hall '-P 1'
_cell_length_a 5.922
_cell_length_b 7.198
_cell_length_c 8.433
_cell_angle_alpha 112.90
_cell_angle_beta 91.40
_cell_angle_gamma 113.35
loop_
_atom_site_label
_atom_site_type_symbol
_atom_site_fract_x
_atom_site_fract_y
_atom_site_fract_z
Sr1 Sr 0.106 0.217 0.331
Br1 Br 0.333 0.654 0.687
O1 O 0.107 0.170 0.966
O2 O 0.121 0.015 0.514
O3 O 0.228 0.313 0.909
O4 O 0.281 0.640 0.290
O5 O 0.310 0.730 0.188
```

Top 6 peaks for 2θ from 5° to 70°, in order of rising 2θ:
hkl 0 0 1, 11.65°, intensity 592
hkl 0 1 -1, 14.38°, intensity 921
hkl 1 -2 2, 29.04°, intensity 603
hkl 2 -1 0, 30.19°, intensity 1000
hkl 0 1 2, 33.04°, intensity 618
hkl -1 2 1, 33.30°, intensity 554


Record 10
Structure and computed powder XRD pattern of Cs2Ag3Br5 (a crystal structure in Alexandria, relaxed with PBE; Cu Kα X-rays).

Atomic structure:
```
data_Cs2Ag3Br5
_chemical_formula_sum 'Cs8 Ag12 Br20'
_space_group_name_H-M_alt 'I b a m'
_space_group_IT_number 72
_space_group_name_Hall '-I 2 2c'
_cell_length_a 9.933
_cell_length_b 18.353
_cell_length_c 7.793
_cell_angle_alpha 90.00
_cell_angle_beta 90.00
_cell_angle_gamma 90.00
loop_
_atom_site_label
_atom_site_type_symbol
_atom_site_fract_x
_atom_site_fract_y
_atom_site_fract_z
Cs1 Cs 0.203 0.159 0.000
Ag1 Ag 0.000 0.000 0.250
Ag2 Ag 0.081 0.396 0.000
Br1 Br 0.000 0.292 0.250
Br2 Br 0.000 0.500 0.250
Br3 Br 0.138 0.075 0.500
```

Top 6 peaks for 2θ from 5° to 70°, in order of rising 2θ:
hkl 1 4 1, 24.23°, intensity 936
hkl 2 0 2, 29.13°, intensity 545
hkl 0 4 2, 30.09°, intensity 1000
hkl 3 2 1, 30.92°, intensity 733
hkl 2 6 2, 41.71°, intensity 351
hkl 0 0 4, 46.61°, intensity 395


Record 11
Structure and computed powder XRD pattern of Ce7ThIn3 (a crystal structure in Alexandria, relaxed with PBE; Cu Kα X-rays).

Atomic structure:
```
data_Ce7ThIn3
_chemical_formula_sum 'Ce14 Th2 In6'
_space_group_name_H-M_alt 'C 1 2/m 1'
_space_group_IT_number 12
_space_group_name_Hall '-C 2y'
_cell_length_a 11.437
_cell_length_b 10.896
_cell_length_c 5.699
_cell_angle_alpha 90.00
_cell_angle_beta 115.64
_cell_angle_gamma 90.00
loop_
_atom_site_label
_atom_site_type_symbol
_atom_site_fract_x
_atom_site_fract_y
_atom_site_fract_z
Ce1 Ce 0.000 0.000 0.000
Ce2 Ce 0.180 0.247 0.648
Ce3 Ce 0.202 0.500 0.195
Th1 Th 0.000 0.000 0.500
In1 In 0.000 0.281 0.000
In2 In 0.000 0.500 0.500
```

Top 6 peaks for 2θ from 5° to 70°, in order of rising 2θ:
hkl 1 1 -1, 17.60°, intensity 306
hkl 2 0 -2, 31.48°, intensity 945
hkl 0 4 0, 32.88°, intensity 818
hkl 2 2 1, 33.76°, intensity 1000
hkl 4 2 -1, 35.54°, intensity 769
hkl 2 4 -2, 46.16°, intensity 613


Record 12
Structure and computed powder XRD pattern of Pm5Sb4Se (a crystal structure in Alexandria, relaxed with PBE; Cu Kα X-rays).

Atomic structure:
```
data_Pm5Sb4Se
_chemical_formula_sum 'Pm10 Sb8 Se2'
_space_group_name_H-M_alt 'I 4/m'
_space_group_IT_number 87
_space_group_name_Hall '-I 4'
_cell_length_a 9.923
_cell_length_b 9.923
_cell_length_c 6.290
_cell_angle_alpha 90.00
_cell_angle_beta 90.00
_cell_angle_gamma 90.00
loop_
_atom_site_label
_atom_site_type_symbol
_atom_site_fract_x
_atom_site_fract_y
_atom_site_fract_z
Pm1 Pm 0.000 0.000 0.000
Pm2 Pm 0.100 0.705 0.500
Sb1 Sb 0.098 0.700 0.000
Se1 Se 0.000 0.000 0.500
```

Top 6 peaks for 2θ from 5° to 70°, in order of rising 2θ:
hkl 0 0 2, 28.42°, intensity 1000
hkl 3 1 2, 40.63°, intensity 760
hkl 2 4 2, 50.33°, intensity 271
hkl 6 2 0, 58.86°, intensity 84
hkl 3 1 4, 66.51°, intensity 117
hkl 6 2 2, 66.63°, intensity 230


Repeat the eleventh record exactly.
Structure and computed powder XRD pattern of Ce7ThIn3 (a crystal structure in Alexandria, relaxed with PBE; Cu Kα X-rays).

Atomic structure:
```
data_Ce7ThIn3
_chemical_formula_sum 'Ce14 Th2 In6'
_space_group_name_H-M_alt 'C 1 2/m 1'
_space_group_IT_number 12
_space_group_name_Hall '-C 2y'
_cell_length_a 11.437
_cell_length_b 10.896
_cell_length_c 5.699
_cell_angle_alpha 90.00
_cell_angle_beta 115.64
_cell_angle_gamma 90.00
loop_
_atom_site_label
_atom_site_type_symbol
_atom_site_fract_x
_atom_site_fract_y
_atom_site_fract_z
Ce1 Ce 0.000 0.000 0.000
Ce2 Ce 0.180 0.247 0.648
Ce3 Ce 0.202 0.500 0.195
Th1 Th 0.000 0.000 0.500
In1 In 0.000 0.281 0.000
In2 In 0.000 0.500 0.500
```

Top 6 peaks for 2θ from 5° to 70°, in order of rising 2θ:
hkl 1 1 -1, 17.60°, intensity 306
hkl 2 0 -2, 31.48°, intensity 945
hkl 0 4 0, 32.88°, intensity 818
hkl 2 2 1, 33.76°, intensity 1000
hkl 4 2 -1, 35.54°, intensity 769
hkl 2 4 -2, 46.16°, intensity 613